Record 1
The following is a calculated X-ray powder pattern of NdYTm3. It was derived from DFT lattice parameters and positions (PBE), using Cu Kα X-rays.
No peak broadening, texture or thermal motion is included.

Principal peaks in the range 2θ from 5° to 70°, sorted by position:
| two_theta | d/Å | Rel. int. | index |
| --- | --- | --- | --- |
| 10.61 | 8.335 | 27 | 0 2 0 |
| 21.32 | 4.167 | 12 | 0 4 0 |
| 29.61 | 3.017 | 17 | 1 1 2 |
| 31.24 | 2.863 | 33 | 0 0 4 |
| 32.22 | 2.778 | 19 | 0 6 0 |
| 33.37 | 2.685 | 100 | 1 3 2 |
| 45.50 | 1.993 | 18 | 0 6 4 |
| 56.31 | 1.634 | 9 | 1 9 1 |
| 56.96 | 1.617 | 22 | 1 3 6 |
| 60.35 | 1.534 | 10 | 2 0 4 |

Cell lengths 3.6328, 16.6691, 11.4527 Å; angles 90.00, 90.00, 90.00 degrees
Space group Cmcm (No. 63)
Asymmetric unit:
1 Nd 0.0000 0.1923 0.2500 (multiplicity 4)
2 Y 0.0000 0.4832 0.7500 (multiplicity 4)
3 Tm 0.0000 0.1474 0.7500 (multiplicity 4)
4 Tm 0.0000 0.3441 0.0025 (multiplicity 8)

Record 2
The following is a calculated X-ray powder pattern of Pm3Zn2Co4. It was derived from DFT lattice parameters and positions (PBE), using Cu Kα X-rays.
No peak broadening, texture or thermal motion is included.

Principal peaks in the range 2θ from 5° to 70°, sorted by position:
| two_theta | d/Å | Rel. int. | index |
| --- | --- | --- | --- |
| 25.26 | 3.526 | 16 | 1 0 0 |
| 33.64 | 2.664 | 100 | 1 0 6 |
| 36.24 | 2.479 | 2 | 1 0 7 |
| 44.51 | 2.035 | 52 | 1 1 0 |
| 51.88 | 1.762 | 5 | 2 0 0 |
| 55.45 | 1.657 | 1 | 1 0 13 |
| 56.92 | 1.618 | 22 | 2 0 6 |
| 62.91 | 1.477 | 1 | 1 0 15 |
| 64.80 | 1.439 | 21 | 1 1 12 |
| 67.92 | 1.380 | 2 | 1 1 13 |

Cell lengths 4.0719, 4.0719, 24.4009 Å; angles 90.00, 90.00, 120.00 degrees
Space group P-6m2 (No. 187)
Asymmetric unit:
1 Pm 0.0000 0.0000 0.0799 (multiplicity 2)
2 Pm 0.0000 0.0000 0.2469 (multiplicity 2)
3 Pm 0.0000 0.0000 0.4050 (multiplicity 2)
4 Zn 0.3333 0.6667 0.5000 (multiplicity 1)
5 Zn 0.6667 0.3333 0.1634 (multiplicity 2)
6 Zn 0.6667 0.3333 0.5000 (multiplicity 1)
7 Co 0.3333 0.6667 0.0000 (multiplicity 1)
8 Co 0.3333 0.6667 0.1635 (multiplicity 2)
9 Co 0.3333 0.6667 0.3272 (multiplicity 2)
10 Co 0.6667 0.3333 0.0000 (multiplicity 1)
11 Co 0.6667 0.3333 0.3273 (multiplicity 2)